# Rb5V2O6
Calculated XRD peak list, CuKα. Input: a DFT-relaxed cell (PBE+U, Alexandria).

Top 10 peaks for 2θ = 5–70°, sorted by position:
2θ/deg, d_spacing, I_rel
24.07, 3.697, 46.2
27.15, 3.285, 50.1
27.29, 3.268, 46.5
27.64, 3.228, 84.3
28.21, 3.163, 36.8
28.82, 3.098, 100.0
30.55, 2.926, 91.2
30.84, 2.900, 78.2
31.26, 2.861, 61.7
45.13, 2.009, 42.5

Crystal structure
```
26
Lattice="5.5806 -3.5877 0.0000 5.5806 3.5877 0.0000 -2.4398 0.0000 14.7890" Properties=species:S:1:pos:R:3 pbc="T T T"
Rb 3.7508 2.7949 11.0918
Rb 4.9255 1.9055 0.0655
Rb 3.1729 0.4915 4.3017
Rb 5.0159 1.9055 7.3290
Rb 1.9530 -0.4915 11.6962
Rb 6.7685 0.4915 3.0928
Rb 3.7056 -1.9055 7.4601
Rb 5.5486 -0.4915 10.4874
Rb 3.7960 -1.9055 14.7235
Rb 4.9707 -2.7949 3.6973
V 1.6615 0.9326 8.5423
V 2.8814 -0.9326 1.1477
V 5.8401 0.9326 13.6413
V 7.0600 -0.9326 6.2468
O 0.1871 0.3891 9.4780
O 1.4813 0.7383 6.6241
O 1.4070 -0.3891 2.0834
O 0.2614 -0.7383 14.0186
O 3.2491 0.3932 9.2419
O 4.4690 -0.3932 1.8473
O 4.2525 0.3932 12.9417
O 5.4724 -0.3932 5.5472
O 8.4601 0.7383 0.7704
O 7.3145 0.3891 12.7056
O 7.2402 -0.7383 8.1649
O 8.5344 -0.3891 5.3111
```